Dy4V6O19: theoretical XRD peak list (CuKα), based on the GGA+U geometry in Alexandria.
Peak positions follow from Bragg's law for the DFT cell and can differ from measured ones.

Principal peaks in the range 10° ≤ 2θ ≤ 90°, in order of falling intensity:
Position (°2θ)  I_rel  index
24.6  1000  2 -1 0
24.4  801  0 1 -2
32.0  425  1 2 -2
24.3  352  0 1 1
31.5  351  -2 1 2
43.0  313  0 3 0
34.8  305  1 1 1
35.0  302  -3 1 1
43.3  288  3 0 0
31.8  220  2 -2 1
56.3  184  -3 4 1
37.5  155  0 1 -3

Atomic structure:
```
Dy4V6O19
1.0
7.6894 0.0000 0.0000
-2.6124 7.2348 0.0000
-2.5888 -3.5782 6.3606
Dy V O
4 6 19
direct
0.0000 0.0000 0.0000
0.0291 0.3109 0.7170
0.3211 0.6123 0.3106
0.7271 0.2993 0.0274
0.1835 0.9698 0.5138
0.3636 0.7912 0.8318
0.4868 0.1427 0.3182
0.5520 0.4688 0.7097
0.6871 0.8319 0.1960
0.8648 0.6511 0.5138
0.0185 0.9632 0.6648
0.0233 0.3096 0.0138
0.0263 0.6539 0.3632
0.0512 0.6033 0.6998
0.2874 0.2816 0.6591
0.3147 0.9924 0.0452
0.3501 0.9285 0.3683
0.3667 0.2983 0.3562
0.3744 0.6607 0.0140
0.3753 0.6192 0.6229
0.4096 0.0153 0.7534
0.6312 0.6518 0.3284
0.6694 0.3104 0.6710
0.6743 0.5688 0.9825
0.6824 0.9685 0.0138
0.7048 0.3344 0.3135
0.7243 0.0524 0.4049
0.7488 0.6913 0.7147
0.9894 0.9555 0.2737
```